The following is a simulated powder diffraction line list of CrSiAg6O8. It was derived from DFT lattice parameters and positions (PBE+U), using CuKα.

Crystal structure
a b c (Å): 10.5079 10.5079 10.5079
angles (deg): 140.65 140.65 56.87
Element x y z (fractional)
Cr  0.3750  0.6250  0.7500
Cr  0.6250  0.3750  0.2500
Si  0.1250  0.8750  0.2500
Si  0.8750  0.1250  0.7500
Ag  0.0000  0.2060  0.2060
Ag  0.0000  0.7940  0.7940
Ag  0.1128  0.3628  0.7500
Ag  0.2060  0.0000  0.7060
Ag  0.2060  0.5000  0.2060
Ag  0.3628  0.1128  0.2500
Ag  0.5000  0.2060  0.7060
Ag  0.5000  0.7940  0.2940
Ag  0.6372  0.8872  0.7500
Ag  0.7940  0.0000  0.2940
Ag  0.7940  0.5000  0.7940
Ag  0.8872  0.6372  0.2500
O  0.1192  0.1767  0.9425
O  0.1286  0.5738  0.5549
O  0.1767  0.1192  0.4425
O  0.1767  0.7342  0.0575
O  0.2658  0.8233  0.4425
O  0.4262  0.4811  0.5549
O  0.4262  0.8714  0.9451
O  0.4811  0.4262  0.0549
O  0.5189  0.5738  0.9451
O  0.5738  0.1286  0.0549
O  0.5738  0.5189  0.4451
O  0.7342  0.1767  0.5575
O  0.8233  0.2658  0.9425
O  0.8233  0.8808  0.5575
O  0.8714  0.4262  0.4451
O  0.8808  0.8233  0.0575

Principal peaks in the range 2θ from 5° to 70°, by angle:
- d 2.809, 31.86°, intensity 100
- d 2.502, 35.90°, intensity 24
- d 2.404, 37.41°, intensity 6
- d 2.310, 38.99°, intensity 10
- d 2.027, 44.70°, intensity 6
- d 1.769, 51.67°, intensity 11
- d 1.697, 54.03°, intensity 21
- d 1.497, 62.00°, intensity 17
- d 1.412, 66.19°, intensity 11
- d 1.404, 66.58°, intensity 6